The following is a calculated XRD peak list of BaCaSmMnO6. It was derived from a DFT-relaxed cell (GGA+U, the Materials Project), using a wavelength of 1.5418 Å.
Peak positions follow from Bragg's law for the DFT cell and can differ from measured ones.

Structural model:
Unit cell a=5.9039 b=5.9039 c=5.9039 alpha=60.00 beta=60.00 gamma=60.00
Element x y z (fractional)
Ba  0.0000  0.0000  0.0000
Ca  0.5000  0.5000  0.5000
Sm  0.7500  0.7500  0.7500
Mn  0.2500  0.2500  0.2500
O  0.0207  0.0207  0.4793
O  0.0207  0.4793  0.0207
O  0.0207  0.4793  0.4793
O  0.4793  0.0207  0.0207
O  0.4793  0.0207  0.4793
O  0.4793  0.4793  0.0207

Principal peaks in the range 2θ from 10° to 90°, low angle first:
d 4.821, I 251
d 2.952, I 1000
d 2.517, I 186
d 2.087, I 334
d 1.915, I 100
d 1.704, I 387
d 1.476, I 199
d 1.320, I 176
d 1.205, I 64
d 1.116, I 208

=====

The following is a calculated XRD peak list of MgMo2H4Cl4O6. It was derived from a DFT-relaxed cell (GGA+U, the Materials Project), using a wavelength of 1.5418 Å.
Peak positions follow from Bragg's law for the DFT cell and can differ from measured ones.

Structural model:
Unit cell a=3.7734 b=7.5902 c=9.8725 alpha=88.93 beta=89.66 gamma=89.67
Element x y z (fractional)
Mg  0.0000  0.0000  0.0000
Mo  0.0836  0.6690  0.6464
Mo  0.4994  0.2062  0.1731
H  0.0666  0.0415  0.5567
H  0.2666  0.0440  0.6950
H  0.4023  0.5667  0.0963
H  0.4323  0.5681  0.2564
Cl  0.0723  0.7086  0.9060
Cl  0.0798  0.7109  0.4073
Cl  0.4992  0.2190  0.4080
Cl  0.5080  0.1645  0.8770
O  0.0070  0.2330  0.1180
O  0.0773  0.9838  0.6461
O  0.0862  0.4452  0.6567
O  0.5079  0.5049  0.1745
O  0.5349  0.9688  0.1330
O  0.5833  0.7147  0.6517

Principal peaks in the range 2θ from 10° to 90°, low angle first:
d 6.071, I 520
d 5.963, I 1000
d 4.935, I 210
d 3.794, I 441
d 3.531, I 230
d 3.518, I 165
d 3.386, I 346
d 3.371, I 278
d 2.999, I 158
d 2.469, I 353